(1)
Diffraction record for SbOF3. The powder X-ray diffraction pattern is theoretical, not measured: it uses a GGA-PBE-relaxed structure and Cu Kα X-rays.
No peak broadening, texture or thermal motion is included.

Lattice parameters (Å, degrees): 6.7388 7.7391 8.4296 98.50 111.44 109.90
Space group P-1 (No. 2)
Inequivalent atoms, fractional coordinates:
Sb (0.0139, 0.0191, 0.2082) x2
Sb (0.1630, 0.3880, 0.6057) x2
O (0.0274, 0.1513, 0.6508) x2
O (0.0999, 0.2678, 0.3647) x2
F (0.0551, 0.1740, 0.0262) x2
F (0.1795, 0.6225, 0.5082) x2
F (0.2102, 0.5567, 0.8165) x2
F (0.3099, 0.0412, 0.9139) x2
F (0.3277, 0.0535, 0.2726) x2
F (0.4895, 0.4555, 0.6977) x2

Most intense lines, 2θ from 10° to 90°, by angle:
2θ = 14.51°, I 34, hkl 0 1 -1; 2θ = 15.39°, I 60, hkl 1 -1 0; 2θ = 15.64°, I 100, hkl 1 0 0; 2θ = 17.53°, I 22, hkl -1 1 1; 2θ = 20.04°, I 32, hkl 0 1 1; 2θ = 21.52°, I 37, hkl 1 1 -1; 2θ = 25.79°, I 60, hkl -1 1 2; 2θ = 28.47°, I 30, hkl 2 -1 0; 2θ = 29.25°, I 28, hkl 0 2 -2; 2θ = 44.54°, I 22, hkl -1 2 3

=====

(2)
Diffraction record for Sb5O7F. The powder X-ray diffraction pattern is theoretical, not measured: it uses a GGA-PBE-relaxed structure and Cu Kα X-rays.
No peak broadening, texture or thermal motion is included.

Lattice parameters (Å, degrees): 4.1579 10.1053 13.0923 72.23 81.10 78.27
Space group P-1 (No. 2)
Inequivalent atoms, fractional coordinates:
Sb (0.0366, 0.2635, 0.1601) x2
Sb (0.0974, 0.9398, 0.3722) x2
Sb (0.2672, 0.0980, 0.8560) x2
Sb (0.2737, 0.3371, 0.6113) x2
Sb (0.3921, 0.6659, 0.0588) x2
O (0.1030, 0.2888, 0.9987) x2
O (0.1168, 0.0511, 0.2124) x2
O (0.1989, 0.7368, 0.3722) x2
O (0.2084, 0.3030, 0.7791) x2
O (0.2846, 0.8536, 0.0856) x2
O (0.3562, 0.1042, 0.6751) x2
O (0.4390, 0.7352, 0.8906) x2
F (0.3757, 0.2524, 0.4770) x2

Most intense lines, 2θ from 10° to 90°, by angle:
2θ = 13.25°, I 48, hkl 0 1 -1; 2θ = 14.68°, I 100, hkl 0 1 2; 2θ = 25.32°, I 59, hkl 1 -1 0; 2θ = 26.23°, I 44, hkl 1 2 2; 2θ = 28.21°, I 37, hkl 0 3 0; 2θ = 28.79°, I 56, hkl 0 0 4; 2θ = 28.93°, I 66, hkl -1 1 2; 2θ = 29.05°, I 66, hkl 1 2 3; 2θ = 29.39°, I 90, hkl 1 -1 2; 2θ = 43.53°, I 61, hkl 2 1 1

=====

(3)
Diffraction record for Sb3O2F5. The powder X-ray diffraction pattern is theoretical, not measured: it uses a GGA-PBE-relaxed structure and Cu Kα X-rays.
No peak broadening, texture or thermal motion is included.

Lattice parameters (Å, degrees): 13.4609 6.0872 9.3551 90.00 108.92 90.00
Space group P2/c (No. 13)
Inequivalent atoms, fractional coordinates:
Sb (0.0000, 0.0559, 0.2500) x2
Sb (0.2088, 0.4334, 0.1153) x4
Sb (0.3625, 0.0432, 0.4116) x4
Sb (0.5000, 0.3758, 0.2500) x2
O (0.3390, 0.2604, 0.2190) x4
O (0.4920, 0.1610, 0.0788) x4
F (0.0428, 0.2727, 0.4148) x4
F (0.1497, 0.1377, 0.2311) x4
F (0.1562, 0.2255, 0.9452) x4
F (0.2958, 0.4508, 0.4911) x4
F (0.3600, 0.1972, 0.7669) x4

Most intense lines, 2θ from 10° to 90°, by angle:
2θ = 17.69°, I 41, hkl 0 1 1; 2θ = 20.18°, I 18, hkl 2 1 0; 2θ = 24.00°, I 100, hkl 1 1 -2; 2θ = 25.58°, I 47, hkl 3 1 0; 2θ = 28.04°, I 26, hkl 2 0 2; 2θ = 28.75°, I 20, hkl 4 0 -2; 2θ = 31.72°, I 14, hkl 4 1 0; 2θ = 41.04°, I 14, hkl 2 2 2; 2θ = 41.55°, I 24, hkl 1 2 -3; 2θ = 46.34°, I 13, hkl 1 1 4

=====

(4)
Diffraction record for SbOF3. The powder X-ray diffraction pattern is theoretical, not measured: it uses a GGA-PBE-relaxed structure and Cu Kα X-rays.
No peak broadening, texture or thermal motion is included.

Lattice parameters (Å, degrees): 3.8064 4.1376 9.0305 90.00 90.00 90.00
Space group Immm (No. 71)
Inequivalent atoms, fractional coordinates:
Sb (0.0000, 0.0000, 0.0000) x2
O (0.0000, 0.5000, 0.5000) x2
F (0.0000, 0.0000, 0.2093) x4
F (0.0000, 0.5000, 0.0000) x2

Most intense lines, 2θ from 10° to 90°, by angle:
2θ = 19.66°, I 72, hkl 0 0 2; 2θ = 23.65°, I 100, hkl 0 1 1; 2θ = 25.39°, I 91, hkl 1 0 1; 2θ = 31.95°, I 43, hkl 1 1 0; 2θ = 38.11°, I 16, hkl 1 0 3; 2θ = 39.93°, I 24, hkl 0 0 4; 2θ = 43.76°, I 22, hkl 0 2 0; 2θ = 47.79°, I 16, hkl 2 0 0; 2θ = 51.27°, I 26, hkl 1 2 1; 2θ = 54.00°, I 20, hkl 2 1 1

=====

(5)
Diffraction record for SbOF. The powder X-ray diffraction pattern is theoretical, not measured: it uses a GGA-PBE-relaxed structure and Cu Kα X-rays.
No peak broadening, texture or thermal motion is included.

Lattice parameters (Å, degrees): 6.7692 3.4591 8.2672 90.00 90.00 90.00
Space group Pnma (No. 62)
Inequivalent atoms, fractional coordinates:
Sb (0.1921, 0.2500, 0.0748) x4
O (0.0032, 0.2500, 0.8800) x4
F (0.1702, 0.2500, 0.4264) x4

Most intense lines, 2θ from 10° to 90°, by angle:
2θ = 16.93°, I 56, hkl 1 0 1; 2θ = 21.50°, I 63, hkl 0 0 2; 2θ = 25.24°, I 68, hkl 1 0 2; 2θ = 26.33°, I 37, hkl 2 0 0; 2θ = 30.98°, I 100, hkl 1 1 1; 2θ = 37.17°, I 40, hkl 2 1 0; 2θ = 41.92°, I 48, hkl 0 1 3; 2θ = 42.29°, I 26, hkl 2 0 3; 2θ = 50.18°, I 43, hkl 2 1 3; 2θ = 53.31°, I 25, hkl 3 1 2

=====

(6)
Diffraction record for SbOF. The powder X-ray diffraction pattern is theoretical, not measured: it uses a GGA-PBE-relaxed structure and Cu Kα X-rays.
No peak broadening, texture or thermal motion is included.

Lattice parameters (Å, degrees): 5.7205 6.3652 5.5954 90.00 95.85 90.00
Space group P2_1/c (No. 14)
Inequivalent atoms, fractional coordinates:
Sb (0.2284, 0.0224, 0.1845) x4
O (0.0712, 0.1585, 0.8776) x4
F (0.3904, 0.6820, 0.4535) x4

Most intense lines, 2θ from 10° to 90°, by angle:
2θ = 21.20°, I 51, hkl 0 1 1; 2θ = 25.41°, I 100, hkl 1 1 -1; 2θ = 27.38°, I 65, hkl 1 1 1; 2θ = 28.04°, I 29, hkl 0 2 0; 2θ = 31.44°, I 24, hkl 2 0 0; 2θ = 42.62°, I 28, hkl 2 2 0; 2θ = 43.14°, I 26, hkl 2 0 -2; 2θ = 48.04°, I 23, hkl 1 3 -1; 2θ = 51.31°, I 33, hkl 3 1 -1; 2θ = 52.23°, I 15, hkl 2 2 -2

=====

(7)
Diffraction record for SbXeO2F7. The powder X-ray diffraction pattern is theoretical, not measured: it uses a GGA-PBE-relaxed structure and Cu Kα X-rays.
No peak broadening, texture or thermal motion is included.

Lattice parameters (Å, degrees): 9.2271 9.2348 9.2445 92.58 92.67 92.49
Space group P1 (No. 1)
Inequivalent atoms, fractional coordinates:
Sb (0.0000, 0.0000, 0.0000) x1
Sb (0.0579, 0.3781, 0.5911) x1
Sb (0.4666, 0.3223, 0.2137) x1
Sb (0.6801, 0.7870, 0.5334) x1
Xe (0.1551, 0.9097, 0.4558) x1
Xe (0.5227, 0.8608, 0.0639) x1
Xe (0.5899, 0.2424, 0.6890) x1
Xe (0.9231, 0.4763, 0.1224) x1
O (0.1624, 0.7192, 0.3897) x1
O (0.3309, 0.9995, 0.4178) x1
O (0.3472, 0.7992, 0.1329) x1
O (0.3991, 0.1764, 0.6958) x1
O (0.4868, 0.9152, 0.8766) x1
O (0.6797, 0.2047, 0.8649) x1
O (0.8564, 0.4825, 0.9315) x1
O (0.8844, 0.6513, 0.2122) x1
F (0.0005, 0.4032, 0.3878) x1
F (0.0187, 0.5738, 0.6388) x1
F (0.0312, 0.8017, 0.9572) x1
F (0.0483, 0.9699, 0.2066) x1
F (0.0833, 0.1747, 0.5338) x1
F (0.1060, 0.3388, 0.7868) x1
F (0.1386, 0.5154, 0.0969) x1
F (0.1954, 0.8841, 0.6708) x1
F (0.1971, 0.0558, 0.9749) x1
F (0.2539, 0.4255, 0.5519) x1
F (0.2740, 0.2599, 0.2495) x1
F (0.4236, 0.3501, 0.0149) x1
F (0.4404, 0.5184, 0.2694) x1
F (0.4815, 0.7445, 0.5643) x1
F (0.5112, 0.1192, 0.1629) x1
F (0.5312, 0.2793, 0.4093) x1
F (0.5637, 0.4575, 0.7281) x1
F (0.5979, 0.6615, 0.0146) x1
F (0.6296, 0.8314, 0.3330) x1
F (0.6495, 0.9940, 0.5810) x1
F (0.6730, 0.3668, 0.1830) x1
F (0.7168, 0.5938, 0.4732) x1
F (0.7364, 0.7612, 0.7298) x1
F (0.7995, 0.9496, 0.0440) x1
F (0.8545, 0.3208, 0.6162) x1
F (0.8772, 0.8514, 0.4931) x1
F (0.9403, 0.0373, 0.8069) x1
F (0.9598, 0.1972, 0.0643) x1

Most intense lines, 2θ from 10° to 90°, by angle:
2θ = 19.26°, I 76, hkl 0 0 2; 2θ = 21.15°, I 45, hkl 2 0 -1; 2θ = 21.97°, I 100, hkl 2 0 1; 2θ = 23.08°, I 58, hkl 1 1 -2; 2θ = 23.46°, I 40, hkl 2 1 -1; 2θ = 28.02°, I 20, hkl 2 2 0; 2θ = 28.44°, I 23, hkl -2 2 1; 2θ = 40.78°, I 19, hkl 1 -4 1; 2θ = 41.46°, I 66, hkl -1 4 1; 2θ = 42.59°, I 19, hkl 1 4 1